Starting from a cell relaxed with GGA+U, the PXRD pattern of KCdCo2F was computed for Cu Kα, 1.54184 Å.
Kinematic intensities with the Lorentz-polarization factor, no thermal factor.

Most intense lines, 10 to 80 degrees two-theta, in order of falling intensity:
2θ (°), I/Imax
26.1, 100.0
15.6, 65.9
31.5, 58.3
42.4, 49.1
27.7, 41.0
52.9, 26.7
53.8, 23.1
31.9, 22.8
45.1, 21.8
48.0, 21.6
35.3, 17.3
45.5, 16.6

Atomic structure:
```
KCdCo2F
1.0
5.684 0.000 0.000
0.000 5.684 0.000
0.000 0.000 6.440
K Cd Co F
1 1 2 1
Direct
0.000 0.000 0.000
0.000 0.000 0.500
0.000 0.500 0.000
0.500 0.000 0.000
0.500 0.500 0.500
```